Computed X-ray diffraction stick pattern of PrHoMnCd for λ = 1.5418 Å (Cu Kα), from a structure optimized by DFT (GGA-PBE).
Neutral-atom scattering factors, no anomalous dispersion.

```
4
Lattice="0.000 3.719 3.719 3.719 0.000 3.719 3.719 3.719 0.000" Properties=species:S:1:pos:R:3 pbc="T T T"
Pr 0.000 0.000 0.000
Ho 3.719 3.719 3.719
Mn 5.579 5.579 5.579
Cd 1.860 1.860 1.860
```

Most intense lines, 10° ≤ 2θ ≤ 90°, by angle:
d/Å, 2θ (°), I/Imax
4.295, 20.68, 4
3.719, 23.92, 9
2.630, 34.09, 100
2.243, 40.21, 2
2.147, 42.08, 3
1.860, 48.98, 18
1.663, 55.22, 4
1.518, 61.02, 36
1.315, 71.78, 11
1.176, 81.91, 15